[1]
Computed powder diffraction line list
Compound: Rb3NaRe2O9
Radiation: λ = 1.5418 Å (Cu Kα)
Structure: a structure optimized by DFT (PBE)

Structure:
abc: 6.272 6.272 14.639
angles: 90.00 90.00 120.00
Fractional coordinates of all 30 atoms:
Rb 0.000 0.000 0.250
Rb 0.000 0.000 0.750
Rb 0.333 0.667 0.111
Rb 0.333 0.667 0.389
Rb 0.667 0.333 0.611
Rb 0.667 0.333 0.889
Na 0.000 0.000 0.000
Na 0.000 0.000 0.500
Re 0.333 0.667 0.650
Re 0.333 0.667 0.850
Re 0.667 0.333 0.150
Re 0.667 0.333 0.350
O 0.069 0.534 0.750
O 0.186 0.373 0.594
O 0.186 0.373 0.906
O 0.186 0.814 0.594
O 0.186 0.814 0.906
O 0.373 0.186 0.094
O 0.373 0.186 0.406
O 0.466 0.534 0.750
O 0.466 0.931 0.750
O 0.534 0.069 0.250
O 0.534 0.466 0.250
O 0.627 0.814 0.594
O 0.627 0.814 0.906
O 0.814 0.186 0.094
O 0.814 0.186 0.406
O 0.814 0.627 0.094
O 0.814 0.627 0.406
O 0.931 0.466 0.250

The 8 most intense peaks (2θ from 5° to 70°), most intense first:
| 2θ (°) | I (rel.) |
| --- | --- |
| 28.46 | 100 |
| 17.41 | 68 |
| 29.43 | 51 |
| 41.40 | 33 |
| 16.32 | 30 |
| 37.78 | 29 |
| 50.40 | 20 |
| 51.00 | 19 |

=====

[2]
Computed powder diffraction line list
Compound: Rb2NaRuO4
Radiation: λ = 1.5418 Å (Cu Kα)
Structure: a structure optimized by DFT (PBE)

Structure:
abc: 12.051 10.662 6.935
angles: 83.58 61.54 34.88
Fractional coordinates of all 16 atoms:
Rb 0.056 0.056 0.694
Rb 0.306 0.306 0.944
Rb 0.694 0.694 0.056
Rb 0.944 0.944 0.306
Na 0.125 0.125 0.125
Na 0.875 0.875 0.875
Ru 0.375 0.375 0.375
Ru 0.625 0.625 0.625
O 0.037 0.637 0.522
O 0.303 0.522 0.637
O 0.363 0.963 0.697
O 0.478 0.697 0.963
O 0.522 0.303 0.037
O 0.637 0.037 0.303
O 0.697 0.478 0.363
O 0.963 0.363 0.478

The 8 most intense peaks (2θ from 5° to 70°), most intense first:
| 2θ (°) | I (rel.) |
| --- | --- |
| 21.37 | 100 |
| 29.36 | 68 |
| 29.70 | 63 |
| 34.27 | 52 |
| 17.27 | 32 |
| 28.28 | 29 |
| 50.55 | 28 |
| 40.99 | 24 |

=====

[3]
Computed powder diffraction line list
Compound: RbNaSi2O5
Radiation: λ = 1.5418 Å (Cu Kα)
Structure: a structure optimized by DFT (PBE)

Structure:
abc: 4.938 13.573 8.185
angles: 90.00 90.95 90.00
Fractional coordinates of all 36 atoms:
Rb 0.224 0.191 0.286
Rb 0.224 0.309 0.786
Rb 0.776 0.691 0.214
Rb 0.776 0.809 0.714
Na 0.268 0.590 0.951
Na 0.268 0.910 0.451
Na 0.732 0.090 0.549
Na 0.732 0.410 0.049
Si 0.207 0.043 0.793
Si 0.207 0.457 0.293
Si 0.289 0.633 0.528
Si 0.289 0.867 0.028
Si 0.711 0.133 0.972
Si 0.711 0.367 0.472
Si 0.793 0.543 0.707
Si 0.793 0.957 0.207
O 0.114 0.572 0.669
O 0.114 0.928 0.169
O 0.222 0.746 0.510
O 0.222 0.754 0.010
O 0.247 0.573 0.351
O 0.247 0.927 0.851
O 0.264 0.058 0.604
O 0.264 0.442 0.104
O 0.388 0.115 0.918
O 0.388 0.385 0.418
O 0.612 0.615 0.582
O 0.612 0.885 0.082
O 0.736 0.558 0.896
O 0.736 0.942 0.396
O 0.753 0.073 0.149
O 0.753 0.427 0.649
O 0.778 0.246 0.990
O 0.778 0.254 0.490
O 0.886 0.072 0.831
O 0.886 0.428 0.331

The 8 most intense peaks (2θ from 5° to 70°), most intense first:
| 2θ (°) | I (rel.) |
| --- | --- |
| 28.84 | 100 |
| 28.48 | 88 |
| 29.02 | 72 |
| 29.32 | 71 |
| 36.39 | 55 |
| 28.09 | 24 |
| 35.46 | 24 |
| 50.57 | 22 |

=====

[4]
Computed powder diffraction line list
Compound: RbNa2Ta2O7
Radiation: λ = 1.5418 Å (Cu Kα)
Structure: a structure optimized by DFT (PBE)

Structure:
abc: 10.413 10.413 10.413
angles: 157.47 157.45 32.09
Fractional coordinates of all 12 atoms:
Rb 0.000 0.000 0.000
Na 0.250 0.750 0.500
Na 0.750 0.250 0.500
Ta 0.393 0.393 0.000
Ta 0.607 0.607 0.000
O 0.103 0.603 0.500
O 0.299 0.299 0.000
O 0.397 0.897 0.500
O 0.500 0.500 0.000
O 0.603 0.103 0.500
O 0.701 0.701 0.000
O 0.897 0.397 0.500

The 8 most intense peaks (2θ from 5° to 70°), most intense first:
| 2θ (°) | I (rel.) |
| --- | --- |
| 31.34 | 100 |
| 22.29 | 77 |
| 25.64 | 71 |
| 8.84 | 49 |
| 31.07 | 49 |
| 44.52 | 46 |
| 55.45 | 42 |
| 17.73 | 31 |

=====

[5]
Computed powder diffraction line list
Compound: Rb5NaTeO2
Radiation: λ = 1.5418 Å (Cu Kα)
Structure: a structure optimized by DFT (PBE)

Structure:
abc: 5.636 5.636 10.460
angles: 90.00 90.00 90.00
Fractional coordinates of all 9 atoms:
Rb 0.000 0.000 0.000
Rb 0.000 0.500 0.242
Rb 0.000 0.500 0.758
Rb 0.500 0.000 0.242
Rb 0.500 0.000 0.758
Na 0.000 0.000 0.500
Te 0.500 0.500 0.000
O 0.000 0.000 0.290
O 0.000 0.000 0.710

The 8 most intense peaks (2θ from 5° to 70°), most intense first:
| 2θ (°) | I (rel.) |
| --- | --- |
| 28.15 | 100 |
| 8.45 | 48 |
| 31.76 | 46 |
| 54.39 | 31 |
| 47.43 | 27 |
| 58.19 | 20 |
| 34.29 | 17 |
| 45.53 | 16 |

=====

[6]
Computed powder diffraction line list
Compound: Rb2NaU2O7
Radiation: λ = 1.5418 Å (Cu Kα)
Structure: a structure optimized by DFT (PBE)

Structure:
abc: 11.827 11.827 11.827
angles: 158.91 158.91 30.00
Fractional coordinates of all 12 atoms:
Rb 0.191 0.191 0.000
Rb 0.809 0.809 0.000
Na 0.000 0.000 0.000
U 0.407 0.407 0.000
U 0.593 0.593 0.000
O 0.089 0.589 0.500
O 0.320 0.320 0.000
O 0.411 0.911 0.500
O 0.500 0.500 0.000
O 0.589 0.089 0.500
O 0.680 0.680 0.000
O 0.911 0.411 0.500

The 8 most intense peaks (2θ from 5° to 70°), most intense first:
| 2θ (°) | I (rel.) |
| --- | --- |
| 28.40 | 100 |
| 20.89 | 63 |
| 29.18 | 54 |
| 51.25 | 41 |
| 41.74 | 30 |
| 15.51 | 28 |
| 49.80 | 19 |
| 58.77 | 16 |